Cu2Ag3: simulated powder XRD pattern (Cu Kα), based on a PBE-relaxed structure.
No peak broadening, texture or thermal motion is included.

Atomic structure:
Cell lengths 9.7800, 9.7800, 5.7408 Å; angles 98.28, 98.28, 16.58 degrees
Sites, in units of the cell vectors:
Cu  0.0000  0.0000  0.0000
Cu  0.0015  0.0015  0.4539
Cu  0.2025  0.2025  0.0750
Cu  0.4125  0.4125  0.1847
Ag  0.2035  0.2035  0.5847
Ag  0.4148  0.4148  0.6826
Ag  0.5937  0.5937  0.7770
Ag  0.6012  0.6012  0.2698
Ag  0.8077  0.8077  0.3711
Ag  0.8088  0.8088  0.8918

The 6 most intense peaks (10° ≤ 2θ ≤ 90°), by angle:
39.17°, I 51; 39.28°, I 50; 39.68°, I 100; 45.06°, I 70; 47.48°, I 26; 79.80°, I 23